# 1
This entry pairs a crystal structure of K3ZnCu2F9 with its computed powder X-ray diffraction pattern. Radiation: Cu Kα (weighted mean of Kα1 and Kα2). Structure: a DFT-relaxed cell (PBE, Alexandria).
Peak positions follow from Bragg's law for the DFT cell and can differ from measured ones.

Top 8 peaks for 2θ from 5° to 70°, in order of rising 2θ:
(1 0 1), 4.094 Å, 21.7 deg, I 34.8; (1 1 0), 2.895 Å, 30.9 deg, I 100.0; (0 0 3), 2.364 Å, 38.1 deg, I 3.7; (2 0 2), 2.047 Å, 44.2 deg, I 60.0; (2 1 1), 1.831 Å, 49.8 deg, I 14.8; (3 0 0), 1.671 Å, 54.9 deg, I 36.6; (2 2 0), 1.447 Å, 64.4 deg, I 32.9; (1 3 1), 1.365 Å, 68.8 deg, I 6.2

Structural model:
```
data_K3ZnCu2F9
_symmetry_space_group_name_H-M 'P -3 m 1'
_symmetry_Int_Tables_number 164
_symmetry_space_group_name_Hall '-P 3 2"'
_cell_length_a 5.7898
_cell_length_b 5.7898
_cell_length_c 7.0910
_cell_angle_alpha 90.00
_cell_angle_beta 90.00
_cell_angle_gamma 120.00
loop_
_atom_site_label
_atom_site_type_symbol
_atom_site_fract_x
_atom_site_fract_y
_atom_site_fract_z
K1 K 0.0000 0.0000 0.0000
K2 K 0.3333 0.6667 0.6655
Zn1 Zn 0.0000 0.0000 0.5000
Cu1 Cu 0.3333 0.6667 0.1634
F1 F 0.0000 0.5000 0.0000
F2 F 0.1668 0.3337 0.3318
```

# 2
This entry pairs a crystal structure of Al3In2Au8 with its computed powder X-ray diffraction pattern. Radiation: Cu Kα (weighted mean of Kα1 and Kα2). Structure: a DFT-relaxed cell (PBE, Alexandria).
Peak positions follow from Bragg's law for the DFT cell and can differ from measured ones.

Top 10 peaks for 2θ from 5° to 70°, in order of rising 2θ:
(0 4 0), 3.583 Å, 24.9 deg, I 34.6; (2 2 0), 3.528 Å, 25.2 deg, I 9.5; (2 0 1), 3.000 Å, 29.8 deg, I 53.6; (2 2 1), 2.767 Å, 32.4 deg, I 8.3; (2 4 1), 2.300 Å, 39.2 deg, I 100.0; (0 0 2), 2.230 Å, 40.4 deg, I 28.0; (4 0 0), 2.027 Å, 44.7 deg, I 18.2; (0 4 2), 1.893 Å, 48.1 deg, I 12.4; (4 4 0), 1.764 Å, 51.8 deg, I 8.5; (4 0 2), 1.500 Å, 61.9 deg, I 13.9

Structural model:
```
data_Al3In2Au8
_symmetry_space_group_name_H-M 'C m m m'
_symmetry_Int_Tables_number 65
_symmetry_space_group_name_Hall '-C 2 2'
_cell_length_a 8.106
_cell_length_b 14.330
_cell_length_c 4.460
_cell_angle_alpha 90.00
_cell_angle_beta 90.00
_cell_angle_gamma 90.00
loop_
_atom_site_label
_atom_site_type_symbol
_atom_site_fract_x
_atom_site_fract_y
_atom_site_fract_z
Al1 Al 0.000 0.000 0.000
Al2 Al 0.221 0.500 0.500
In1 In 0.000 0.239 0.000
Au1 Au 0.000 0.110 0.500
Au2 Au 0.000 0.366 0.500
Au3 Au 0.228 0.396 0.000
```

# 3
This entry pairs a crystal structure of Tl2Ag5Se3 with its computed powder X-ray diffraction pattern. Radiation: Cu Kα (weighted mean of Kα1 and Kα2). Structure: a DFT-relaxed cell (PBE, Alexandria).
Peak positions follow from Bragg's law for the DFT cell and can differ from measured ones.

Top 10 peaks for 2θ from 5° to 70°, in order of rising 2θ:
(0 6 2), 2.901 Å, 30.8 deg, I 44.8; (1 3 -2), 2.840 Å, 31.5 deg, I 85.5; (1 3 2), 2.805 Å, 31.9 deg, I 100.0; (1 7 -1), 2.714 Å, 33.0 deg, I 29.2; (1 7 1), 2.699 Å, 33.2 deg, I 29.2; (0 10 1), 2.457 Å, 36.6 deg, I 30.8; (1 9 0), 2.439 Å, 36.9 deg, I 72.0; (2 0 0), 2.304 Å, 39.1 deg, I 48.9; (0 0 4), 1.961 Å, 46.3 deg, I 23.0; (0 12 2), 1.889 Å, 48.2 deg, I 18.0

Structural model:
```
data_Tl2Ag5Se3
_symmetry_space_group_name_H-M 'C 1 c 1'
_symmetry_Int_Tables_number 9
_cell_length_a 4.609
_cell_length_b 25.872
_cell_length_c 7.845
_cell_angle_alpha 90.00
_cell_angle_beta 90.79
_cell_angle_gamma 90.00
loop_
_symmetry_equiv_pos_as_xyz
'x,y,z'
'x,-y,z+1/2'
'x+1/2,y+1/2,z'
'x+1/2,-y+1/2,z+1/2'
loop_
_atom_site_label
_atom_site_type_symbol
_atom_site_fract_x
_atom_site_fract_y
_atom_site_fract_z
Tl1 Tl 0.000 0.010 0.000
Tl2 Tl 0.488 0.174 0.539
Ag1 Ag 0.000 0.210 0.227
Ag2 Ag 0.181 0.375 0.479
Ag3 Ag 0.481 0.053 0.263
Ag4 Ag 0.487 0.289 0.299
Ag5 Ag 0.496 0.395 0.161
Se1 Se 0.473 0.222 0.000
Se2 Se 0.480 0.393 0.784
Se3 Se 0.493 0.054 0.745
```